The following is a computed powder diffractogram of TbCr2F8. It was derived from a cell relaxed with GGA+U, using Cu Kα (λ = 1.5418 Å).

Atomic structure:
```
data_TbCr2F8
_chemical_formula_sum 'Tb2 Cr4 F16'
_symmetry_space_group_name_H-M 'C 1 2/m 1'
_symmetry_Int_Tables_number 12
_cell_length_a 9.893
_cell_length_b 7.242
_cell_length_c 4.381
_cell_angle_alpha 90.00
_cell_angle_beta 92.83
_cell_angle_gamma 90.00
loop_
_symmetry_equiv_pos_as_xyz
'x,y,z'
'-x,-y,-z'
'-x,y,-z'
'x,-y,z'
'x+1/2,y+1/2,z'
'-x+1/2,-y+1/2,-z'
'-x+1/2,y+1/2,-z'
'x+1/2,-y+1/2,z'
loop_
_atom_site_label
_atom_site_fract_x
_atom_site_fract_y
_atom_site_fract_z
_atom_site_occupancy
Tb1 0.000 0.000 0.000 1
Cr1 0.119 0.500 0.261 1
F1 0.088 0.500 0.756 1
F2 0.106 0.229 0.248 1
F3 0.184 0.000 0.738 1
```

Principal peaks in the range 2θ = 10–80°, by intensity:
d/Å, 2θ (°), I/Imax
3.454, 25.80, 100
3.621, 24.59, 69
4.940, 17.95, 62
3.359, 26.54, 62
2.998, 29.80, 40
4.375, 20.30, 33
1.906, 47.70, 28
2.057, 44.03, 28
2.069, 43.76, 27
5.841, 15.17, 24